[1]
Tb3DyY6: calculated X-ray diffraction stick pattern (copper Kα), based on DFT lattice parameters and positions (PBE).
Neutral-atom scattering factors, no anomalous dispersion.

Peak list (12 most intense, 2θ from 5° to 70°, by angle)
2θ (°)  intensity
28.74  63
29.05  36
31.19  61
31.45  100
32.13  57
32.77  44
33.73  60
34.61  25
35.15  21
41.60  17
56.57  19
57.34  29

Crystal structure
abc: 11.566 11.566 6.397
angles: 90.00 90.00 130.75
Sites, in units of the cell vectors:
Tb: 0.080 0.920 0.500
Tb: 0.204 0.460 0.894
Tb: 0.460 0.204 0.394
Tb: 0.540 0.796 0.894
Tb: 0.796 0.540 0.394
Tb: 0.920 0.080 0.000
Dy: 0.339 0.661 0.422
Dy: 0.661 0.339 0.922
Y: 0.042 0.605 0.734
Y: 0.121 0.242 0.475
Y: 0.199 0.801 0.196
Y: 0.242 0.121 0.975
Y: 0.395 0.958 0.734
Y: 0.485 0.515 0.223
Y: 0.515 0.485 0.723
Y: 0.605 0.042 0.234
Y: 0.758 0.879 0.475
Y: 0.801 0.199 0.696
Y: 0.879 0.758 0.975
Y: 0.958 0.395 0.234

***

[2]
Tb2Dy9Y: calculated X-ray diffraction stick pattern (copper Kα), based on DFT lattice parameters and positions (PBE).
Neutral-atom scattering factors, no anomalous dispersion.

Peak list (12 most intense, 2θ from 5° to 70°, by angle)
2θ (°)  intensity
27.12  10
30.14  22
31.55  50
31.94  100
35.48  24
37.90  13
45.51  17
50.38  10
56.67  18
56.92  18
62.66  29
66.77  11

Crystal structure
abc: 11.208 11.208 3.494
angles: 90.00 90.00 120.00
Sites, in units of the cell vectors:
Tb: 0.333 0.667 0.000
Tb: 0.667 0.333 0.000
Dy: 0.000 0.500 0.000
Dy: 0.176 0.352 0.500
Dy: 0.176 0.824 0.500
Dy: 0.352 0.176 0.500
Dy: 0.500 0.000 0.000
Dy: 0.500 0.500 0.000
Dy: 0.648 0.824 0.500
Dy: 0.824 0.176 0.500
Dy: 0.824 0.648 0.500
Y: 0.000 0.000 0.000

***

[3]
Tb3Dy9Y2: calculated X-ray diffraction stick pattern (copper Kα), based on DFT lattice parameters and positions (PBE).
Neutral-atom scattering factors, no anomalous dispersion.

Peak list (12 most intense, 2θ from 5° to 70°, by angle)
2θ (°)  intensity
31.32  100
31.41  34
31.68  77
31.78  71
33.27  40
33.43  36
34.65  55
48.80  34
52.37  19
54.58  14
58.71  17
62.42  20

Crystal structure
abc: 6.239 8.707 8.805
angles: 79.99 75.59 87.43
Sites, in units of the cell vectors:
Tb: 0.000 0.000 0.000
Tb: 0.163 0.329 0.196
Tb: 0.472 0.749 0.556
Dy: 0.031 0.762 0.367
Dy: 0.140 0.063 0.562
Dy: 0.256 0.373 0.769
Dy: 0.317 0.677 0.973
Dy: 0.443 0.970 0.169
Dy: 0.574 0.035 0.771
Dy: 0.698 0.596 0.202
Dy: 0.708 0.125 0.369
Dy: 0.887 0.702 0.783
Y: 0.696 0.329 0.969
Y: 0.825 0.408 0.564